# Cr5P3
Calculated powder X-ray diffraction pattern, Cu Ka. Input: a DFT-relaxed cell (GGA-PBE, Alexandria).

Top 10 peaks for 2θ = 10–90°, sorted by position:
35.7 deg, intensity 450
41.0 deg, intensity 1000
41.3 deg, intensity 260
42.3 deg, intensity 413
42.8 deg, intensity 789
44.7 deg, intensity 880
44.8 deg, intensity 221
47.1 deg, intensity 373
47.8 deg, intensity 666
51.9 deg, intensity 406

Structure:
a = 9.039 Å, b = 7.050 Å, c = 5.929 Å
α = 90.00°, β = 90.00°, γ = 90.00°
Positions (direct):
1 Cr 0.018 0.250 0.028
2 Cr 0.088 0.048 0.683
3 Cr 0.088 0.452 0.683
4 Cr 0.195 0.750 0.349
5 Cr 0.245 0.250 0.312
6 Cr 0.255 0.750 0.812
7 Cr 0.305 0.250 0.849
8 Cr 0.412 0.548 0.183
9 Cr 0.412 0.952 0.183
10 Cr 0.482 0.750 0.528
11 Cr 0.518 0.250 0.472
12 Cr 0.588 0.048 0.817
13 Cr 0.588 0.452 0.817
14 Cr 0.695 0.750 0.151
15 Cr 0.745 0.250 0.188
16 Cr 0.755 0.750 0.688
17 Cr 0.805 0.250 0.651
18 Cr 0.912 0.548 0.317
19 Cr 0.912 0.952 0.317
20 Cr 0.982 0.750 0.972
21 P 0.002 0.750 0.592
22 P 0.166 0.511 0.064
23 P 0.166 0.989 0.064
24 P 0.334 0.011 0.564
25 P 0.334 0.489 0.564
26 P 0.498 0.250 0.092
27 P 0.502 0.750 0.908
28 P 0.666 0.511 0.436
29 P 0.666 0.989 0.436
30 P 0.834 0.011 0.936
31 P 0.834 0.489 0.936
32 P 0.998 0.250 0.408



# CrP2Pt
Calculated powder X-ray diffraction pattern, Cu Ka. Input: a DFT-relaxed cell (GGA-PBE, Alexandria).

Top 10 peaks for 2θ = 10–90°, sorted by position:
19.5 deg, intensity 565
23.8 deg, intensity 463
27.0 deg, intensity 665
30.5 deg, intensity 733
34.5 deg, intensity 457
34.8 deg, intensity 494
38.0 deg, intensity 1000
46.8 deg, intensity 680
48.2 deg, intensity 394
48.8 deg, intensity 297

Structure:
a = 4.164 Å, b = 4.164 Å, c = 4.694 Å
α = 102.83°, β = 102.83°, γ = 44.97°
Positions (direct):
1 Cr 0.000 0.000 0.000
2 P 0.477 0.477 0.359
3 P 0.709 0.709 0.981
4 Pt 0.225 0.225 0.584



# CrPPt2
Calculated powder X-ray diffraction pattern, Cu Ka. Input: a DFT-relaxed cell (GGA-PBE, Alexandria).

Top 10 peaks for 2θ = 10–90°, sorted by position:
22.2 deg, intensity 359
28.9 deg, intensity 524
38.1 deg, intensity 318
40.6 deg, intensity 1000
40.8 deg, intensity 426
48.5 deg, intensity 427
54.2 deg, intensity 137
68.2 deg, intensity 115
70.0 deg, intensity 174
70.5 deg, intensity 208

Structure:
a = 4.747 Å, b = 4.747 Å, c = 4.728 Å
α = 119.79°, β = 119.79°, γ = 41.76°
Positions (direct):
1 Cr 0.000 0.000 0.000
2 P 0.701 0.701 0.040
3 Pt 0.197 0.197 0.682
4 Pt 0.397 0.397 0.391



# RbCr2P
Calculated powder X-ray diffraction pattern, Cu Ka. Input: a DFT-relaxed cell (GGA-PBE, Alexandria).

Top 10 peaks for 2θ = 10–90°, sorted by position:
23.3 deg, intensity 694
24.4 deg, intensity 1000
30.3 deg, intensity 282
32.6 deg, intensity 392
33.4 deg, intensity 273
34.5 deg, intensity 499
38.8 deg, intensity 280
42.0 deg, intensity 221
50.0 deg, intensity 470
50.4 deg, intensity 255

Structure:
a = 8.609 Å, b = 8.609 Å, c = 8.609 Å
α = 139.93°, β = 139.93°, γ = 57.96°
Positions (direct):
1 Rb 0.375 0.625 0.750
2 Rb 0.625 0.375 0.250
3 Cr 0.000 0.000 0.000
4 Cr 0.000 0.000 0.500
5 Cr 0.000 0.500 0.000
6 Cr 0.500 0.000 0.500
7 P 0.125 0.875 0.250
8 P 0.875 0.125 0.750